Entry 1:
Diffraction record for Na2B3C. The powder XRD pattern is theoretical, not measured: it uses the PBE geometry in Alexandria and Cu Ka.
Kinematic intensities with the Lorentz-polarization factor, no thermal factor.

The 10 most intense peaks (2θ from 10° to 90°), by angle:
d_spacing  I_rel
2.523  19
2.175  100
2.146  24
1.635  10
1.457  18
1.379  2
1.262  2
1.244  12
1.210  11
1.205  17

Cell and atoms:
Cell: 2.9136 2.9136 34.3284 Å, 90.00 90.00 120.00°
Space group P-3m1 (No. 164)
Unique sites:
1 Na 0.0000 0.0000 0.0000 (multiplicity 1)
2 Na 0.0000 0.0000 0.1230 (multiplicity 2)
3 Na 0.0000 0.0000 0.2495 (multiplicity 2)
4 Na 0.0000 0.0000 0.3730 (multiplicity 2)
5 Na 0.0000 0.0000 0.5000 (multiplicity 1)
6 B 0.3333 0.6667 0.0612 (multiplicity 2)
7 B 0.3333 0.6667 0.1863 (multiplicity 2)
8 B 0.3333 0.6667 0.3114 (multiplicity 2)
9 B 0.3333 0.6667 0.4363 (multiplicity 2)
10 B 0.3333 0.6667 0.5637 (multiplicity 2)
11 B 0.3333 0.6667 0.8137 (multiplicity 2)
12 C 0.3333 0.6667 0.6886 (multiplicity 2)
13 C 0.3333 0.6667 0.9389 (multiplicity 2)



Entry 2:
Diffraction record for TaMn2Be. The powder XRD pattern is theoretical, not measured: it uses the PBE geometry in Alexandria and Cu Ka.
Kinematic intensities with the Lorentz-polarization factor, no thermal factor.

The 10 most intense peaks (2θ from 10° to 90°), by angle:
d_spacing  I_rel
4.087  59
3.346  68
2.759  77
2.471  43
2.183  100
2.078  42
1.936  35
1.929  72
1.731  31
1.274  22

Cell and atoms:
Cell: 8.105 2.952 4.277 Å, 90.00 107.14 90.00°
Space group C2/m (No. 12)
Unique sites:
1 Ta 0.000 0.000 0.000 (multiplicity 2)
2 Mn 0.237 0.000 0.702 (multiplicity 4)
3 Be 0.000 0.500 0.500 (multiplicity 2)



Entry 3:
Diffraction record for TbY3Bi2. The powder XRD pattern is theoretical, not measured: it uses the PBE geometry in Alexandria and Cu Ka.
Kinematic intensities with the Lorentz-polarization factor, no thermal factor.

The 10 most intense peaks (2θ from 10° to 90°), by angle:
d_spacing  I_rel
4.037  44
3.230  23
3.025  62
2.878  31
2.586  100
2.435  27
2.284  53
1.789  31
1.615  26
1.370  28

Cell and atoms:
Cell: 4.567 4.567 8.635 Å, 90.00 90.00 90.00°
Space group P-4m2 (No. 115)
Unique sites:
1 Tb 0.000 0.000 0.000 (multiplicity 1)
2 Y 0.000 0.500 0.347 (multiplicity 2)
3 Y 0.500 0.500 0.000 (multiplicity 1)
4 Bi 0.000 0.500 0.717 (multiplicity 2)



Entry 4:
Diffraction record for Pm2Y6Zn. The powder XRD pattern is theoretical, not measured: it uses the PBE geometry in Alexandria and Cu Ka.
Kinematic intensities with the Lorentz-polarization factor, no thermal factor.

The 10 most intense peaks (2θ from 10° to 90°), by angle:
d_spacing  I_rel
2.903  15
2.810  100
2.785  64
2.723  41
1.957  19
1.620  10
1.611  9
1.588  13
1.584  11
1.392  11

Cell and atoms:
Cell: 9.832 10.296 5.446 Å, 90.00 90.00 90.00°
Space group Pnnm (No. 58)
Unique sites:
1 Pm 0.190 0.247 0.000 (multiplicity 4)
2 Y 0.016 0.313 0.500 (multiplicity 4)
3 Y 0.134 0.897 0.000 (multiplicity 4)
4 Y 0.190 0.571 0.000 (multiplicity 4)
5 Zn 0.000 0.000 0.500 (multiplicity 2)



What did the fourth record say?
Diffraction record for Pm2Y6Zn. The powder XRD pattern is theoretical, not measured: it uses the PBE geometry in Alexandria and Cu Ka.
Kinematic intensities with the Lorentz-polarization factor, no thermal factor.

The 10 most intense peaks (2θ from 10° to 90°), by angle:
d_spacing  I_rel
2.903  15
2.810  100
2.785  64
2.723  41
1.957  19
1.620  10
1.611  9
1.588  13
1.584  11
1.392  11

Cell and atoms:
Cell: 9.832 10.296 5.446 Å, 90.00 90.00 90.00°
Space group Pnnm (No. 58)
Unique sites:
1 Pm 0.190 0.247 0.000 (multiplicity 4)
2 Y 0.016 0.313 0.500 (multiplicity 4)
3 Y 0.134 0.897 0.000 (multiplicity 4)
4 Y 0.190 0.571 0.000 (multiplicity 4)
5 Zn 0.000 0.000 0.500 (multiplicity 2)